1.
The following is a simulated powder X-ray diffraction pattern of CaWF5. It was derived from a GGA+U-relaxed structure, using Cu Kα, 1.54184 Å.
Lines closer than 0.1° are merged.

Peak list (6 most intense, 2θ = 10–90°, by angle)
- 2θ 16.46, 5.385 Å, I = 68
- 2θ 20.72, 4.287 Å, I = 62
- 2θ 24.58, 3.621 Å, I = 33
- 2θ 25.75, 3.460 Å, I = 100
- 2θ 33.25, 2.695 Å, I = 30
- 2θ 45.40, 1.998 Å, I = 33

Structure:
Lattice parameters (Å, degrees): 5.8546 5.8546 7.9909 109.78 109.78 72.46
Fractional positions:
Ca 0.0332 0.9668 0.7500
Ca 0.9668 0.0332 0.2500
W 0.5000 0.5000 0.0000
W 0.5000 0.5000 0.5000
F 0.1836 0.7949 0.0308
F 0.2051 0.8164 0.4692
F 0.2322 0.2828 0.3704
F 0.2828 0.2322 0.8704
F 0.3911 0.6089 0.7500
F 0.6089 0.3911 0.2500
F 0.7172 0.7678 0.1296
F 0.7678 0.7172 0.6296
F 0.7949 0.1836 0.5308
F 0.8164 0.2051 0.9692


2.
The following is a simulated powder X-ray diffraction pattern of Li4MnSn3P4O16. It was derived from a GGA+U-relaxed structure, using Cu Kα, 1.54184 Å.
Lines closer than 0.1° are merged.

Peak list (6 most intense, 2θ = 10–90°, by angle)
- 2θ 16.12, 5.499 Å, I = 43
- 2θ 23.70, 3.754 Å, I = 74
- 2θ 24.03, 3.703 Å, I = 100
- 2θ 26.23, 3.398 Å, I = 92
- 2θ 32.95, 2.718 Å, I = 71
- 2θ 33.65, 2.664 Å, I = 50

Structure:
Lattice parameters (Å, degrees): 4.8810 6.7960 11.0013 90.00 91.48 90.00
Fractional positions:
Li 0.0000 0.2240 0.0000
Li 0.0000 0.7760 0.0000
Li 0.4596 0.2578 0.4879
Li 0.4596 0.7422 0.4879
Mn 0.9153 0.5000 0.2745
Sn 0.0109 0.0000 0.7016
Sn 0.4195 0.0000 0.2120
Sn 0.4972 0.5000 0.7828
P 0.0485 0.5000 0.5619
P 0.3393 0.5000 0.0947
P 0.5788 0.0000 0.9252
P 0.8648 0.0000 0.4128
O 0.1710 0.3178 0.6335
O 0.1710 0.6822 0.6335
O 0.1777 0.0000 0.4305
O 0.1800 0.5000 0.4338
O 0.1992 0.3185 0.1549
O 0.1992 0.6815 0.1549
O 0.2392 0.5000 0.9572
O 0.2675 0.0000 0.9423
O 0.6516 0.5000 0.1130
O 0.6847 0.1845 0.8545
O 0.6847 0.8155 0.8545
O 0.7217 0.0000 0.5408
O 0.7346 0.5000 0.5538
O 0.7356 0.0000 0.0518
O 0.7494 0.1858 0.3431
O 0.7494 0.8142 0.3431


3.
The following is a simulated powder X-ray diffraction pattern of CeCrO3. It was derived from a GGA+U-relaxed structure, using Cu Kα, 1.54184 Å.
Lines closer than 0.1° are merged.

Peak list (6 most intense, 2θ = 10–90°, by angle)
- 2θ 22.46, 3.959 Å, I = 17
- 2θ 31.28, 2.860 Å, I = 20
- 2θ 32.20, 2.780 Å, I = 100
- 2θ 32.64, 2.743 Å, I = 25
- 2θ 45.84, 1.980 Å, I = 21
- 2θ 57.98, 1.591 Å, I = 34

Structure:
Lattice parameters (Å, degrees): 5.7198 7.8083 5.4862 90.00 90.00 90.00
Fractional positions:
Ce 0.0593 0.2500 0.0147
Ce 0.4407 0.7500 0.5147
Ce 0.5593 0.2500 0.4853
Ce 0.9407 0.7500 0.9853
Cr 0.0000 0.0000 0.5000
Cr 0.0000 0.5000 0.5000
Cr 0.5000 0.0000 0.0000
Cr 0.5000 0.5000 0.0000
O 0.0291 0.7500 0.4021
O 0.2009 0.5508 0.8011
O 0.2009 0.9492 0.8011
O 0.2991 0.0508 0.3011
O 0.2991 0.4492 0.3011
O 0.4709 0.2500 0.9021
O 0.5291 0.7500 0.0979
O 0.7009 0.5508 0.6989
O 0.7009 0.9492 0.6989
O 0.7991 0.0508 0.1989
O 0.7991 0.4492 0.1989
O 0.9709 0.2500 0.5979


4.
The following is a simulated powder X-ray diffraction pattern of Sr2CaV2Si4O14. It was derived from a GGA+U-relaxed structure, using Cu Kα, 1.54184 Å.
Lines closer than 0.1° are merged.

Peak list (6 most intense, 2θ = 10–90°, by angle)
- 2θ 26.46, 3.369 Å, I = 29
- 2θ 27.67, 3.224 Å, I = 100
- 2θ 29.44, 3.034 Å, I = 49
- 2θ 32.41, 2.763 Å, I = 50
- 2θ 33.48, 2.677 Å, I = 38
- 2θ 34.30, 2.615 Å, I = 34

Structure:
Lattice parameters (Å, degrees): 7.9362 7.9362 7.3718 93.93 93.93 40.74
Fractional positions:
Sr 0.2007 0.2007 0.2759
Sr 0.7993 0.7993 0.7241
Ca 0.9268 0.0732 0.0000
V 0.1117 0.1120 0.7158
V 0.8880 0.8883 0.2842
Si 0.3593 0.4207 0.9752
Si 0.3923 0.3943 0.5327
Si 0.5793 0.6407 0.0248
Si 0.6057 0.6077 0.4673
O 0.0163 0.0066 0.2871
O 0.0672 0.6371 0.0494
O 0.1065 0.5768 0.4403
O 0.3512 0.3781 0.7499
O 0.3629 0.9328 0.9506
O 0.4232 0.8935 0.5597
O 0.4611 0.5389 0.0000
O 0.5022 0.4978 0.5000
O 0.5860 0.1358 0.0609
O 0.5867 0.0996 0.4508
O 0.6219 0.6488 0.2501
O 0.8642 0.4140 0.9391
O 0.9004 0.4133 0.5492
O 0.9934 0.9837 0.7129


5.
The following is a simulated powder X-ray diffraction pattern of Mg3Fe4Sb6O24. It was derived from a GGA+U-relaxed structure, using Cu Kα, 1.54184 Å.
Lines closer than 0.1° are merged.

Peak list (6 most intense, 2θ = 10–90°, by angle)
- 2θ 23.13, 3.846 Å, I = 57
- 2θ 26.37, 3.379 Å, I = 77
- 2θ 26.92, 3.313 Å, I = 56
- 2θ 27.15, 3.285 Å, I = 80
- 2θ 27.81, 3.208 Å, I = 100
- 2θ 28.27, 3.157 Å, I = 57

Structure:
Lattice parameters (Å, degrees): 6.9274 8.3190 10.2778 104.12 105.76 102.66
Fractional positions:
Mg 0.0000 0.0000 0.0000
Mg 0.2776 0.7839 0.2867
Mg 0.7224 0.2161 0.7133
Fe 0.0437 0.7107 0.5132
Fe 0.3763 0.4571 0.1094
Fe 0.6237 0.5429 0.8906
Fe 0.9563 0.2893 0.4868
Sb 0.1091 0.6059 0.8327
Sb 0.2187 0.1532 0.7744
Sb 0.3963 0.2258 0.3740
Sb 0.6037 0.7742 0.6260
Sb 0.7813 0.8468 0.2256
Sb 0.8909 0.3941 0.1673
O 0.0041 0.2327 0.6713
O 0.0686 0.5513 0.6332
O 0.1356 0.5342 0.1484
O 0.1432 0.8388 0.9199
O 0.1984 0.9257 0.6723
O 0.2108 0.2037 0.9660
O 0.2343 0.2899 0.4870
O 0.2444 0.0004 0.2381
O 0.3384 0.5286 0.9227
O 0.3444 0.7508 0.4842
O 0.4503 0.3744 0.2667
O 0.4897 0.2781 0.7809
O 0.5103 0.7219 0.2191
O 0.5497 0.6256 0.7333
O 0.6556 0.2492 0.5158
O 0.6616 0.4714 0.0773
O 0.7556 0.9996 0.7619
O 0.7657 0.7101 0.5130
O 0.7892 0.7963 0.0340
O 0.8016 0.0743 0.3277
O 0.8568 0.1612 0.0801
O 0.8644 0.4658 0.8516
O 0.9314 0.4487 0.3668
O 0.9959 0.7673 0.3287


6.
The following is a simulated powder X-ray diffraction pattern of Cr2FeO4. It was derived from a GGA+U-relaxed structure, using Cu Kα, 1.54184 Å.
Lines closer than 0.1° are merged.

Peak list (6 most intense, 2θ = 10–90°, by angle)
- 2θ 34.57, 2.595 Å, I = 100
- 2θ 34.65, 2.589 Å, I = 50
- 2θ 34.77, 2.580 Å, I = 49
- 2θ 35.24, 2.547 Å, I = 52
- 2θ 61.46, 1.509 Å, I = 46
- 2θ 61.92, 1.499 Å, I = 44

Structure:
Lattice parameters (Å, degrees): 5.9922 6.0008 6.0328 119.38 91.27 118.85
Fractional positions:
Cr 0.0000 0.0000 0.0000
Cr 0.0000 0.0000 0.5000
Cr 0.0000 0.5000 0.0000
Cr 0.5000 0.5000 0.0000
Fe 0.3747 0.7499 0.6246
Fe 0.6253 0.2501 0.3754
O 0.2129 0.9726 0.2409
O 0.2316 0.4715 0.7586
O 0.2404 0.0292 0.7691
O 0.2410 0.4713 0.2128
O 0.7590 0.5287 0.7872
O 0.7596 0.9708 0.2309
O 0.7684 0.5285 0.2414
O 0.7871 0.0274 0.7591


Question: Number 4 is which compound?
Answer: Sr2CaV2Si4O14